Theoretical X-ray diffraction stick pattern
Compound: Li2Ni3BiO8
Radiation: Cu Kα
Structure: a DFT-relaxed cell (PBE+U, the Materials Project)

```
Li2Ni3BiO8
1.0
5.9169 0.0000 0.0000
-2.9570 5.1272 0.0000
-0.0038 -3.4128 5.1188
Li Ni Bi O
2 3 1 8
Direct
0.1248 0.2491 0.3734 Li
0.8752 0.7509 0.6266 Li
0.0000 0.5000 0.0000 Ni
0.5000 0.0000 0.0000 Ni
0.5000 0.5000 0.0000 Ni
0.5000 0.0000 0.5000 Bi
0.2255 0.9503 0.2284 O
0.2721 0.5452 0.8180 O
0.2747 0.9965 0.7714 O
0.2799 0.5045 0.2292 O
0.7201 0.4955 0.7708 O
0.7253 0.0035 0.2286 O
0.7279 0.4548 0.1820 O
0.7745 0.0497 0.7716 O
```

Peak list (12 most intense, 2θ = 10–80°, sorted by position)
2θ/deg, I (rel.)
18.25, 100.0
20.84, 18.3
30.20, 8.8
34.03, 23.6
35.03, 46.0
36.98, 17.7
42.41, 39.9
47.29, 15.0
56.13, 12.7
56.81, 9.8
60.23, 13.2
62.81, 16.1

***

Theoretical X-ray diffraction stick pattern
Compound: Li2Ni2BiO6
Radiation: Cu Kα
Structure: a DFT-relaxed cell (PBE+U, the Materials Project)

```
Li2Ni2BiO6
1.0
2.6869 -4.5833 0.0000
2.6869 4.5833 0.0000
-0.0218 0.0000 10.1768
Li Ni Bi O
4 4 2 12
Direct
0.1011 0.1011 0.2501 Li
0.4009 0.3970 0.7500 Li
0.6030 0.5991 0.2500 Li
0.8989 0.8989 0.7499 Li
0.0905 0.9095 0.5000 Ni
0.4196 0.5804 0.5000 Ni
0.5823 0.4177 0.0000 Ni
0.9114 0.0886 0.0000 Ni
0.2430 0.7570 0.0000 Bi
0.7589 0.2411 0.5000 Bi
0.0878 0.2278 0.6157 O
0.1156 0.5828 0.3991 O
0.2290 0.0851 0.8843 O
0.2816 0.4194 0.1069 O
0.4172 0.8844 0.6009 O
0.4206 0.2791 0.3932 O
0.5806 0.7184 0.8931 O
0.5857 0.1147 0.1009 O
0.7209 0.5794 0.6068 O
0.7722 0.9122 0.3843 O
0.8853 0.4143 0.8991 O
0.9149 0.7710 0.1157 O
```

Peak list (12 most intense, 2θ = 10–80°, sorted by position)
2θ/deg, I (rel.)
17.43, 100.0
19.37, 8.8
21.06, 36.8
26.17, 14.8
32.71, 13.3
33.35, 15.7
34.91, 50.3
35.28, 9.6
37.87, 25.5
43.26, 44.5
57.00, 20.4
60.61, 22.6

***

Theoretical X-ray diffraction stick pattern
Compound: Li4Ni5BiO12
Radiation: Cu Kα
Structure: a DFT-relaxed cell (PBE+U, the Materials Project)

```
Li4Ni5BiO12
1.0
2.5956 -4.4486 0.0000
2.5956 4.4486 0.0000
-0.3871 0.0000 10.1142
Li Ni Bi O
4 5 1 12
Direct
0.1336 0.6748 0.7420 Li
0.3252 0.8664 0.2580 Li
0.6748 0.1336 0.7420 Li
0.8664 0.3252 0.2580 Li
0.0000 0.0000 0.5000 Ni
0.1656 0.8344 0.0000 Ni
0.3357 0.6643 0.5000 Ni
0.6643 0.3357 0.5000 Ni
0.8344 0.1656 0.0000 Ni
0.5000 0.5000 0.0000 Bi
0.0154 0.6576 0.3979 O
0.1409 0.1409 0.8949 O
0.1692 0.5279 0.1141 O
0.3217 0.3217 0.4102 O
0.3424 0.9846 0.6021 O
0.4721 0.8308 0.8859 O
0.5279 0.1692 0.1141 O
0.6576 0.0154 0.3979 O
0.6783 0.6783 0.5898 O
0.8308 0.4721 0.8859 O
0.8591 0.8591 0.1051 O
0.9846 0.3424 0.6021 O
```

Peak list (12 most intense, 2θ = 10–80°, sorted by position)
2θ/deg, I (rel.)
17.54, 100.0
34.58, 12.2
35.83, 21.7
36.15, 23.4
38.39, 10.3
39.65, 10.7
43.84, 18.2
44.70, 20.8
49.36, 7.9
57.40, 9.5
58.56, 10.6
62.59, 13.4

***

Theoretical X-ray diffraction stick pattern
Compound: Li2V3BiO8
Radiation: Cu Kα
Structure: a DFT-relaxed cell (PBE+U, the Materials Project)

```
Li2V3BiO8
1.0
6.1879 -6.2073 0.0000
6.1879 6.2073 0.0000
-0.0032 0.0000 8.7385
Li V Bi O
8 12 4 32
Direct
0.1236 0.1236 0.1193 Li
0.1285 0.6204 0.6277 Li
0.3726 0.3795 0.8721 Li
0.3796 0.8715 0.3723 Li
0.6205 0.6274 0.1279 Li
0.6241 0.1284 0.6226 Li
0.8716 0.3759 0.3774 Li
0.8764 0.8764 0.8807 Li
0.0209 0.9791 0.5000 V
0.2342 0.4841 0.2514 V
0.2478 0.2349 0.4826 V
0.2640 0.0015 0.7318 V
0.4826 0.2523 0.2314 V
0.5008 0.0172 0.9862 V
0.5159 0.7658 0.7486 V
0.7303 0.2697 0.0000 V
0.7477 0.5174 0.7686 V
0.7651 0.7522 0.5174 V
0.9828 0.4992 0.0138 V
0.9985 0.7360 0.2682 V
0.2499 0.7501 0.0000 Bi
0.5012 0.4988 0.5000 Bi
0.7482 0.0078 0.2503 Bi
0.9922 0.2518 0.7497 Bi
0.0017 0.5120 0.2434 O
0.0145 0.9490 0.2590 O
0.0226 0.2125 0.4850 O
0.0510 0.9855 0.7410 O
0.2099 0.4887 0.0164 O
0.2281 0.7116 0.2623 O
0.2384 0.4595 0.4887 O
0.2493 0.0049 0.5035 O
0.2514 0.2523 0.2610 O
0.2676 0.2286 0.7029 O
0.2696 0.0145 0.9617 O
0.2884 0.7719 0.7377 O
0.4593 0.4870 0.2395 O
0.4779 0.2375 0.4611 O
0.4861 0.0112 0.2020 O
0.4880 0.9983 0.7566 O
0.5017 0.2452 0.0015 O
0.5113 0.7901 0.9836 O
0.5130 0.5407 0.7605 O
0.5405 0.7616 0.5113 O
0.7120 0.2617 0.2407 O
0.7250 0.0363 0.9839 O
0.7383 0.2880 0.7593 O
0.7477 0.7486 0.7390 O
0.7548 0.4983 0.9985 O
0.7625 0.5221 0.5389 O
0.7714 0.7324 0.2971 O
0.7875 0.9774 0.5150 O
0.9637 0.2750 0.0161 O
0.9855 0.7304 0.0383 O
0.9888 0.5139 0.7980 O
0.9951 0.7507 0.4965 O
```

Peak list (12 most intense, 2θ = 10–80°, sorted by position)
2θ/deg, I (rel.)
14.31, 20.2
17.54, 100.0
22.71, 47.2
24.91, 25.2
33.95, 45.3
35.52, 27.1
37.05, 11.9
41.20, 32.0
41.33, 15.9
45.16, 13.0
54.40, 12.6
59.78, 23.8

***

Theoretical X-ray diffraction stick pattern
Compound: Li2V3BiO8
Radiation: Cu Kα
Structure: a DFT-relaxed cell (PBE+U, the Materials Project)

```
Li2V3BiO8
1.0
8.7122 0.0000 0.0000
0.0346 8.7987 0.0000
0.0078 0.0015 8.8034
Li V Bi O
8 12 4 32
Direct
0.0000 0.0000 0.0000 Li
0.0034 0.5002 0.4926 Li
0.2495 0.2560 0.2533 Li
0.2552 0.7534 0.7439 Li
0.5012 0.5032 0.9959 Li
0.5064 0.0081 0.5002 Li
0.7508 0.2491 0.7384 Li
0.7553 0.7537 0.2443 Li
0.1053 0.3554 0.8717 V
0.1327 0.1143 0.6340 V
0.1515 0.8787 0.3911 V
0.3596 0.1256 0.8910 V
0.3772 0.9006 0.1415 V
0.3989 0.6495 0.3671 V
0.6093 0.1405 0.1212 V
0.6239 0.3919 0.3525 V
0.6463 0.6267 0.6024 V
0.8620 0.3782 0.0989 V
0.8789 0.6106 0.8495 V
0.8944 0.8639 0.6187 V
0.1291 0.6341 0.1227 Bi
0.3781 0.3824 0.6257 Bi
0.6269 0.8740 0.8667 Bi
0.8817 0.1292 0.3672 Bi
0.0729 0.3593 0.1133 O
0.0974 0.5878 0.8552 O
0.1094 0.3270 0.6343 O
0.1270 0.8909 0.6192 O
0.1349 0.8866 0.1625 O
0.1384 0.1296 0.8680 O
0.1424 0.1173 0.4097 O
0.1801 0.6363 0.3828 O
0.3385 0.3605 0.8822 O
0.3578 0.1142 0.6614 O
0.3640 0.9021 0.9098 O
0.3785 0.1292 0.1157 O
0.3798 0.8751 0.3681 O
0.3927 0.6704 0.1412 O
0.4077 0.4164 0.3515 O
0.4165 0.6426 0.6005 O
0.5791 0.1435 0.8906 O
0.6099 0.1704 0.3471 O
0.6162 0.6254 0.3676 O
0.6200 0.9307 0.1372 O
0.6355 0.3653 0.1205 O
0.6401 0.3966 0.5778 O
0.6575 0.6143 0.8418 O
0.6671 0.8611 0.6119 O
0.8386 0.1451 0.1059 O
0.8459 0.3929 0.3327 O
0.8622 0.6039 0.0793 O
0.8766 0.3797 0.8755 O
0.8768 0.6323 0.6246 O
0.8954 0.8368 0.8415 O
0.8983 0.0862 0.6346 O
0.9143 0.8616 0.4048 O
```

Peak list (12 most intense, 2θ = 10–80°, sorted by position)
2θ/deg, I (rel.)
14.27, 15.5
17.51, 100.0
22.61, 32.2
22.78, 15.2
24.82, 16.9
33.81, 36.6
34.07, 17.7
35.40, 13.6
35.50, 13.6
41.02, 31.8
41.46, 15.1
54.17, 11.1

***

Theoretical X-ray diffraction stick pattern
Compound: MgMn3BiO8
Radiation: Cu Kα
Structure: a DFT-relaxed cell (PBE+U, the Materials Project)

```
MgMn3BiO8
1.0
2.9716 1.7156 7.8628
-2.9716 1.7156 7.8628
0.0000 -3.4313 7.8628
Mg Mn Bi O
1 3 1 8
Direct
0.0000 0.0000 0.0000 Mg
0.0700 0.0700 0.5765 Mn
0.0700 0.5765 0.0700 Mn
0.5765 0.0700 0.0700 Mn
0.1298 0.1298 0.1298 Bi
0.2571 0.7991 0.7991 O
0.2780 0.2780 0.2780 O
0.3414 0.3414 0.8783 O
0.3414 0.8783 0.3414 O
0.7991 0.2571 0.7991 O
0.7991 0.7991 0.2571 O
0.8637 0.8637 0.8637 O
0.8783 0.3414 0.3414 O
```

Peak list (12 most intense, 2θ = 10–80°, sorted by position)
2θ/deg, I (rel.)
11.25, 57.6
17.64, 100.0
18.81, 23.6
22.93, 22.7
25.61, 16.5
32.20, 25.7
35.07, 19.9
35.71, 13.1
37.96, 20.9
38.16, 17.1
44.29, 27.6
46.86, 14.5

***

Theoretical X-ray diffraction stick pattern
Compound: MgMnBiO5
Radiation: Cu Kα
Structure: a DFT-relaxed cell (PBE+U, the Materials Project)

```
MgMnBiO5
1.0
5.3874 0.0000 0.0000
0.0000 11.6313 0.0000
-3.0696 0.0000 7.2908
Mg Mn Bi O
4 4 4 20
Direct
0.0526 0.0797 0.1775 Mg
0.0526 0.4203 0.6775 Mg
0.9474 0.5797 0.3225 Mg
0.9474 0.9203 0.8225 Mg
0.3111 0.6471 0.0286 Mn
0.3111 0.8529 0.5286 Mn
0.6889 0.1471 0.4714 Mn
0.6889 0.3529 0.9714 Mn
0.4407 0.1004 0.8253 Bi
0.4407 0.3996 0.3253 Bi
0.5593 0.6004 0.6747 Bi
0.5593 0.8996 0.1747 Bi
0.1846 0.7134 0.4879 O
0.1846 0.7866 0.9879 O
0.2015 0.5708 0.1721 O
0.2015 0.9292 0.6721 O
0.2528 0.5724 0.8298 O
0.2528 0.9276 0.3298 O
0.2569 0.0259 0.0131 O
0.2569 0.4741 0.5131 O
0.3518 0.1794 0.3624 O
0.3518 0.3206 0.8624 O
0.6482 0.6794 0.1376 O
0.6482 0.8206 0.6376 O
0.7431 0.5259 0.4869 O
0.7431 0.9741 0.9869 O
0.7472 0.0724 0.6702 O
0.7472 0.4276 0.1702 O
0.7985 0.0708 0.3279 O
0.7985 0.4292 0.8279 O
0.8154 0.2134 0.0121 O
0.8154 0.2866 0.5121 O
```

Peak list (12 most intense, 2θ = 10–80°, sorted by position)
2θ/deg, I (rel.)
17.86, 82.9
18.89, 35.1
19.52, 67.7
25.24, 77.3
25.61, 28.2
29.68, 100.0
30.75, 29.8
33.46, 37.2
34.21, 34.2
35.79, 44.7
40.24, 21.2
51.98, 30.1